This entry pairs a crystal structure of MgFe7Ni6O16 with its calculated X-ray powder pattern. Radiation: Cu Kα (λ = 1.5418 Å). Structure: a PBE+U-relaxed structure.

Structure:
```
data_MgFe7Ni6O16
_chemical_formula_sum 'Mg2 Fe14 Ni12 O32'
_symmetry_space_group_name_H-M 'C 1 2/m 1'
_symmetry_Int_Tables_number 12
_cell_length_a 10.551
_cell_length_b 6.042
_cell_length_c 10.477
_cell_angle_alpha 90.00
_cell_angle_beta 108.61
_cell_angle_gamma 90.00
loop_
_symmetry_equiv_pos_as_xyz
'x,y,z'
'-x,-y,-z'
'-x,y,-z'
'x,-y,z'
'x+1/2,y+1/2,z'
'-x+1/2,-y+1/2,-z'
'-x+1/2,y+1/2,-z'
'x+1/2,-y+1/2,z'
loop_
_atom_site_label
_atom_site_type_symbol
_atom_site_fract_x
_atom_site_fract_y
_atom_site_fract_z
Mg1 Mg 0.000 0.000 0.000
Fe1 Fe 0.000 0.500 0.000
Fe2 Fe 0.001 0.249 0.251
Fe3 Fe 0.249 0.500 0.764
Ni1 Ni 0.000 0.000 0.500
Ni2 Ni 0.000 0.500 0.500
Ni3 Ni 0.249 0.000 0.763
Ni4 Ni 0.250 0.250 0.500
O1 O 0.098 0.500 0.849
O2 O 0.102 0.000 0.853
O3 O 0.119 0.249 0.135
O4 O 0.121 0.248 0.622
O5 O 0.126 0.000 0.381
O6 O 0.128 0.500 0.379
```

Largest 10 diffraction maxima, by angle, 10 to 80 degrees two-theta:
index	Position (°2θ)	Rel. int.
0 0 3	26.9	11
4 0 0	35.9	23
0 0 4	36.2	22
2 2 -2	36.4	42
2 2 2	42.0	100
4 0 -4	42.3	48
4 0 4	60.4	14
6 2 -2	61.0	28
0 4 0	61.3	41
4 4 -4	77.4	13